The following is a theoretical X-ray diffraction stick pattern of Er7Te2Pd2. It was derived from a structure optimized by DFT (GGA-PBE), using CuKα.
Lines closer than 0.1° are merged.

Main lines, in order of falling intensity (15° ≤ 2θ ≤ 90°):
| h k l | two_theta | d [Å] | I_rel |
| --- | --- | --- | --- |
| 1 4 1 | 33.65 | 2.663 | 100 |
| 0 3 3 | 32.76 | 2.734 | 60 |
| 1 1 2 | 29.87 | 2.991 | 47 |
| 1 3 2 | 34.09 | 2.630 | 46 |
| 1 3 0 | 28.40 | 3.142 | 32 |
| 2 0 0 | 46.14 | 1.967 | 28 |
| 2 3 3 | 57.74 | 1.597 | 24 |
| 1 0 3 | 36.09 | 2.488 | 22 |
| 1 2 3 | 37.95 | 2.371 | 21 |
| 0 5 1 | 30.08 | 2.971 | 21 |
| 1 7 2 | 50.73 | 1.799 | 20 |
| 0 8 2 | 50.47 | 1.808 | 14 |

Cell and atoms:
a = 3.9346 Å, b = 15.6135 Å, c = 9.6380 Å
α = 90.00°, β = 90.00°, γ = 90.00°
Space group Imm2 (No. 44)
Inequivalent atoms, fractional coordinates:
Er (0.0000, 0.0000, 0.0000) (multiplicity 2)
Er (0.0000, 0.1292, 0.5852) (multiplicity 4)
Er (0.0000, 0.3168, 0.3773) (multiplicity 4)
Er (0.0000, 0.3566, 0.7343) (multiplicity 4)
Te (0.0000, 0.0000, 0.3381) (multiplicity 2)
Te (0.0000, 0.5000, 0.2370) (multiplicity 2)
Pd (0.0000, 0.2374, 0.0721) (multiplicity 4)

The following is a theoretical X-ray diffraction stick pattern of ErTlPd. It was derived from a structure optimized by DFT (GGA-PBE), using CuKα.
Lines closer than 0.1° are merged.

Main lines, in order of falling intensity (15° ≤ 2θ ≤ 90°):
| h k l | two_theta | d [Å] | I_rel |
| --- | --- | --- | --- |
| 1 1 1 | 33.05 | 2.711 | 100 |
| 2 0 1 | 35.65 | 2.518 | 59 |
| 2 1 0 | 34.87 | 2.573 | 47 |
| 3 0 0 | 39.73 | 2.269 | 41 |
| 3 2 1 | 64.67 | 1.441 | 31 |
| 2 1 1 | 42.64 | 2.120 | 20 |
| 3 0 2 | 64.54 | 1.444 | 20 |
| 2 1 2 | 61.24 | 1.514 | 19 |
| 0 0 2 | 48.64 | 1.872 | 18 |
| 3 1 0 | 48.20 | 1.888 | 11 |
| 3 1 1 | 54.43 | 1.686 | 10 |
| 5 1 1 | 83.11 | 1.162 | 10 |

Cell and atoms:
a = 7.8599 Å, b = 7.8599 Å, c = 3.7435 Å
α = 90.00°, β = 90.00°, γ = 120.00°
Space group P-62m (No. 189)
Inequivalent atoms, fractional coordinates:
Er (0.0000, 0.4014, 0.0000) (multiplicity 3)
Tl (0.0000, 0.7313, 0.5000) (multiplicity 3)
Pd (0.0000, 0.0000, 0.0000) (multiplicity 1)
Pd (0.3333, 0.6667, 0.5000) (multiplicity 2)

The following is a theoretical X-ray diffraction stick pattern of ErTmPd2. It was derived from a structure optimized by DFT (GGA-PBE), using CuKα.
Lines closer than 0.1° are merged.

Main lines, in order of falling intensity (15° ≤ 2θ ≤ 90°):
| h k l | two_theta | d [Å] | I_rel |
| --- | --- | --- | --- |
| 2 2 0 | 36.64 | 2.453 | 100 |
| 4 2 2 | 65.97 | 1.416 | 36 |
| 4 0 0 | 52.78 | 1.734 | 18 |
| 6 2 0 | 89.31 | 1.097 | 16 |
| 4 4 0 | 77.90 | 1.226 | 11 |
| 2 0 0 | 25.68 | 3.469 | 5 |
| 4 2 0 | 59.60 | 1.551 | 2 |
| 2 2 2 | 45.28 | 2.003 | 2 |
| 6 0 0 | 83.63 | 1.156 | 1 |

Cell and atoms:
a = 6.9374 Å, b = 6.9374 Å, c = 6.9374 Å
α = 90.00°, β = 90.00°, γ = 90.00°
Space group Fm-3m (No. 225)
Inequivalent atoms, fractional coordinates:
Er (0.0000, 0.0000, 0.0000) (multiplicity 4)
Tm (0.0000, 0.0000, 0.5000) (multiplicity 4)
Pd (0.2500, 0.2500, 0.2500) (multiplicity 8)

The following is a theoretical X-ray diffraction stick pattern of PmEr3. It was derived from a structure optimized by DFT (GGA-PBE), using CuKα.
Lines closer than 0.1° are merged.

Main lines, in order of falling intensity (15° ≤ 2θ ≤ 90°):
| h k l | two_theta | d [Å] | I_rel |
| --- | --- | --- | --- |
| 1 1 1 | 30.95 | 2.889 | 100 |
| 2 0 0 | 35.89 | 2.502 | 51 |
| 3 1 1 | 61.45 | 1.509 | 43 |
| 2 2 0 | 51.66 | 1.769 | 36 |
| 3 3 1 | 84.36 | 1.148 | 18 |
| 4 2 0 | 87.09 | 1.119 | 17 |
| 2 2 2 | 64.50 | 1.445 | 12 |
| 4 0 0 | 76.08 | 1.251 | 6 |

Cell and atoms:
a = 5.0044 Å, b = 5.0044 Å, c = 5.0044 Å
α = 90.00°, β = 90.00°, γ = 90.00°
Space group Pm-3m (No. 221)
Inequivalent atoms, fractional coordinates:
Pm (0.0000, 0.0000, 0.0000) (multiplicity 1)
Er (0.0000, 0.5000, 0.5000) (multiplicity 3)

The following is a theoretical X-ray diffraction stick pattern of Pm3Er. It was derived from a structure optimized by DFT (GGA-PBE), using CuKα.
Lines closer than 0.1° are merged.

Main lines, in order of falling intensity (15° ≤ 2θ ≤ 90°):
| h k l | two_theta | d [Å] | I_rel |
| --- | --- | --- | --- |
| 1 1 2 | 30.20 | 2.959 | 100 |
| 2 0 0 | 35.14 | 2.554 | 33 |
| 3 1 2 | 60.01 | 1.542 | 29 |
| 2 0 4 | 50.27 | 1.815 | 24 |
| 0 0 4 | 34.78 | 2.580 | 17 |
| 1 1 6 | 59.54 | 1.553 | 15 |
| 2 2 4 | 62.81 | 1.479 | 12 |
| 2 2 0 | 50.54 | 1.806 | 12 |
| 3 1 6 | 81.80 | 1.177 | 12 |
| 3 3 2 | 82.22 | 1.173 | 6 |
| 2 0 8 | 84.07 | 1.151 | 6 |
| 4 0 4 | 84.69 | 1.144 | 5 |

Cell and atoms:
a = 5.1082 Å, b = 5.1082 Å, c = 10.3187 Å
α = 90.00°, β = 90.00°, γ = 90.00°
Space group I4/mmm (No. 139)
Inequivalent atoms, fractional coordinates:
Pm (0.0000, 0.0000, 0.0000) (multiplicity 2)
Pm (0.0000, 0.5000, 0.2500) (multiplicity 4)
Er (0.0000, 0.0000, 0.5000) (multiplicity 2)

The following is a theoretical X-ray diffraction stick pattern of PmEr3. It was derived from a structure optimized by DFT (GGA-PBE), using CuKα.
Lines closer than 0.1° are merged.

Main lines, in order of falling intensity (15° ≤ 2θ ≤ 90°):
| h k l | two_theta | d [Å] | I_rel |
| --- | --- | --- | --- |
| 2 0 1 | 32.75 | 2.735 | 100 |
| 0 0 2 | 31.41 | 2.848 | 25 |
| 2 0 0 | 28.63 | 3.118 | 24 |
| 2 2 2 | 60.88 | 1.522 | 23 |
| 2 0 3 | 56.77 | 1.622 | 21 |
| 2 2 0 | 50.72 | 1.800 | 20 |
| 4 0 1 | 61.69 | 1.504 | 16 |
| 2 0 2 | 43.02 | 2.103 | 16 |
| 4 2 1 | 83.83 | 1.154 | 14 |
| 2 2 4 | 87.31 | 1.117 | 9 |
| 4 0 3 | 79.56 | 1.205 | 8 |
| 4 0 2 | 68.63 | 1.367 | 4 |

Cell and atoms:
a = 7.2003 Å, b = 7.2003 Å, c = 5.6957 Å
α = 90.00°, β = 90.00°, γ = 120.00°
Space group P6_3/mmc (No. 194)
Inequivalent atoms, fractional coordinates:
Pm (0.3333, 0.6667, 0.2500) (multiplicity 2)
Er (0.1651, 0.3301, 0.7500) (multiplicity 6)